For Sc6Ga16Ru7, a GGA-PBE-relaxed structure gives the theoretical XRD peak list in this record (Cu Kα (λ = 1.5418 Å)).

Most intense lines, 2θ from 10° to 90°, by intensity:
- 2θ = 41.06°, I = 100, hkl 4 4 0
- 2θ = 74.81°, I = 20, hkl 8 4 4
- 2θ = 24.80°, I = 15, hkl 2 2 2
- 2θ = 37.59°, I = 14, hkl 3 3 3
- 2θ = 48.57°, I = 13, hkl 6 2 2
- 2θ = 43.04°, I = 12, hkl 5 3 1
- 2θ = 59.47°, I = 11, hkl 8 0 0
- 2θ = 12.33°, I = 10, hkl 1 1 1
- 2θ = 14.25°, I = 10, hkl 2 0 0
- 2θ = 68.78°, I = 7, hkl 7 5 3

```
data_Sc6Ga16Ru7
_symmetry_space_group_name_H-M 'F m -3 m'
_symmetry_Int_Tables_number 225
_symmetry_space_group_name_Hall '-F 4 2 3'
_cell_length_a 12.434
_cell_length_b 12.434
_cell_length_c 12.434
_cell_angle_alpha 90.00
_cell_angle_beta 90.00
_cell_angle_gamma 90.00
loop_
_atom_site_label
_atom_site_type_symbol
_atom_site_fract_x
_atom_site_fract_y
_atom_site_fract_z
Sc1 Sc 0.000 0.000 0.220
Ga1 Ga 0.124 0.124 0.376
Ga2 Ga 0.156 0.156 0.156
Ru1 Ru 0.000 0.000 0.500
Ru2 Ru 0.000 0.250 0.250
```

For ScGa2Ru, a GGA-PBE-relaxed structure gives the theoretical XRD peak list in this record (Cu Kα (λ = 1.5418 Å)).

Most intense lines, 2θ from 10° to 90°, by intensity:
- 2θ = 40.40°, I = 100, hkl 2 2 0
- 2θ = 73.47°, I = 32, hkl 4 2 2
- 2θ = 58.47°, I = 16, hkl 4 0 0
- 2θ = 87.37°, I = 10, hkl 4 4 0
- 2θ = 24.42°, I = 10, hkl 1 1 1
- 2θ = 47.78°, I = 5, hkl 3 1 1
- 2θ = 64.31°, I = 2, hkl 3 3 1
- 2θ = 78.75°, I = 2, hkl 5 1 1

```
data_ScGa2Ru
_symmetry_space_group_name_H-M 'F m -3 m'
_symmetry_Int_Tables_number 225
_symmetry_space_group_name_Hall '-F 4 2 3'
_cell_length_a 6.314
_cell_length_b 6.314
_cell_length_c 6.314
_cell_angle_alpha 90.00
_cell_angle_beta 90.00
_cell_angle_gamma 90.00
loop_
_atom_site_label
_atom_site_type_symbol
_atom_site_fract_x
_atom_site_fract_y
_atom_site_fract_z
Sc1 Sc 0.000 0.000 0.000
Ga1 Ga 0.250 0.250 0.250
Ru1 Ru 0.000 0.000 0.500
```